The following is a computed powder diffractogram of LiTb2PuSe4. It was derived from a GGA-PBE-relaxed structure, using Cu Kα, 1.54184 Å.
Peak positions follow from Bragg's law for the DFT cell and can differ from measured ones.

The 12 most intense peaks (2θ = 10–90°), low angle first:
13.27°, rel. 161; 15.28°, rel. 118; 21.74°, rel. 107; 25.50°, rel. 127; 26.68°, rel. 135; 30.90°, rel. 1000; 44.25°, rel. 622; 44.34°, rel. 123; 54.92°, rel. 198; 73.11°, rel. 169; 73.24°, rel. 112; 81.46°, rel. 128

```
LiTb2PuSe4
1.0
7.084 0.000 0.000
0.000 4.092 0.000
-2.390 0.000 6.689
Li Tb Pu Se
1 2 1 4
Cartesian
0.000 0.000 0.000 Li
-1.195 2.046 3.344 Tb
2.347 0.000 3.344 Tb
3.542 2.046 0.000 Pu
1.128 2.046 1.656 Se
-0.062 0.000 5.022 Se
4.756 0.000 1.667 Se
3.565 2.046 5.033 Se
```

The following is a computed powder diffractogram of Tc2B3. It was derived from a GGA-PBE-relaxed structure, using Cu Kα, 1.54184 Å.
Peak positions follow from Bragg's law for the DFT cell and can differ from measured ones.

The 12 most intense peaks (2θ = 10–90°), low angle first:
26.04°, rel. 388; 31.67°, rel. 236; 38.80°, rel. 1000; 42.97°, rel. 392; 43.96°, rel. 123; 49.17°, rel. 118; 57.26°, rel. 179; 59.68°, rel. 120; 62.38°, rel. 137; 67.32°, rel. 150; 75.94°, rel. 245; 85.02°, rel. 99

```
Tc2B3
1.0
-1.489 1.853 4.464
1.489 -1.853 4.464
1.489 1.853 -4.464
Tc B
2 3
Cartesian
0.000 0.000 1.394 Tc
0.000 0.000 7.534 Tc
1.489 0.936 0.000 B
0.000 1.853 0.000 B
0.000 0.917 4.464 B
```

The following is a computed powder diffractogram of PmY2Bi3. It was derived from a GGA-PBE-relaxed structure, using Cu Kα, 1.54184 Å.
Peak positions follow from Bragg's law for the DFT cell and can differ from measured ones.

The 12 most intense peaks (2θ = 10–90°), low angle first:
24.14°, rel. 170; 27.54°, rel. 8; 27.94°, rel. 1000; 39.93°, rel. 779; 47.20°, rel. 97; 49.44°, rel. 282; 57.74°, rel. 134; 63.50°, rel. 42; 65.35°, rel. 369; 72.51°, rel. 274; 77.69°, rel. 34; 86.13°, rel. 90

```
PmY2Bi3
1.0
-2.258 3.193 6.773
2.258 -3.193 6.773
2.258 3.193 -6.773
Pm Y Bi
1 2 3
Cartesian
0.000 0.000 0.000 Pm
0.000 0.000 4.530 Y
0.000 0.000 9.015 Y
2.258 0.000 2.304 Bi
0.000 3.193 0.000 Bi
0.000 3.193 4.469 Bi
```

The following is a computed powder diffractogram of VAgSe4. It was derived from a GGA-PBE-relaxed structure, using Cu Kα, 1.54184 Å.
Peak positions follow from Bragg's law for the DFT cell and can differ from measured ones.

The 12 most intense peaks (2θ = 10–90°), low angle first:
17.14°, rel. 229; 28.49°, rel. 1000; 32.56°, rel. 180; 34.38°, rel. 489; 36.19°, rel. 484; 36.65°, rel. 398; 36.84°, rel. 459; 37.67°, rel. 198; 42.31°, rel. 257; 47.19°, rel. 244; 47.40°, rel. 193; 58.97°, rel. 171

```
VAgSe4
1.0
6.032 0.000 0.000
-0.112 6.288 0.000
-1.949 -2.567 6.737
V Ag Se
2 2 8
Cartesian
-1.972 -1.000 6.736 V
5.943 4.721 0.001 V
1.191 0.264 3.570 Ag
2.780 3.458 3.168 Ag
-1.279 3.736 4.880 Se
0.470 3.156 1.948 Se
-0.025 0.586 5.930 Se
1.858 0.017 0.923 Se
2.113 3.704 5.814 Se
3.996 3.135 0.807 Se
3.501 0.565 4.789 Se
5.250 -0.014 1.858 Se
```

Q: What is the formula in the second record?
A: Tc2B3